Starting from a DFT-relaxed cell (GGA-PBE, Alexandria), the X-ray diffraction stick pattern of Er4Cu2Pd was computed for λ = 1.5418 Å (Cu Kα).

Crystal structure
a = 8.375 Å, b = 8.375 Å, c = 8.375 Å
α = 33.71°, β = 33.71°, γ = 33.71°
Element x y z (fractional)
Er 0.123 0.123 0.123
Er 0.374 0.374 0.374
Er 0.626 0.626 0.626
Er 0.877 0.877 0.877
Cu 0.251 0.251 0.251
Cu 0.749 0.749 0.749
Pd 0.500 0.500 0.500

Largest 10 diffraction maxima, by angle, 2θ from 10° to 90°:
2θ/deg  intensity
25.99  51.4
37.02  100.0
37.15  98.5
45.79  11.6
53.45  34.4
60.28  10.6
66.77  52.4
67.05  16.9
78.82  10.9
79.14  10.6